1.
The following is a computed XRD peak list of Al2Si2O9. It was derived from a DFT-relaxed cell (PBE, the Materials Project), using Cu Kα (λ = 1.5418 Å).
Intensities are scaled so that the largest is 100.

Peak list (10 most intense, 10° ≤ 2θ ≤ 90°, by intensity)
- hkl 0 0 4, 2θ 11.81, I = 100
- hkl 0 0 8, 2θ 23.75, I = 57
- hkl 0 2 1, 2θ 19.80, I = 47
- hkl 1 3 4, 2θ 36.49, I = 29
- hkl 1 1 -3, 2θ 21.28, I = 20
- hkl 1 3 -4, 2θ 36.15, I = 20
- hkl 1 1 -1, 2θ 19.68, I = 20
- hkl 1 1 5, 2θ 24.85, I = 20
- hkl 0 2 0, 2θ 19.56, I = 18
- hkl 2 0 -4, 2θ 35.93, I = 15

Crystal structure
```
data_Al2Si2O9
_chemical_formula_sum 'Al16 Si16 O72'
_symmetry_space_group_name_H-M 'C 1 c 1'
_symmetry_Int_Tables_number 9
_symmetry_space_group_name_Hall 'C -2yc'
_cell_length_a 5.2580
_cell_length_b 9.0722
_cell_length_c 29.9794
_cell_angle_alpha 90.00
_cell_angle_beta 91.53
_cell_angle_gamma 90.00
loop_
_atom_site_label
_atom_site_type_symbol
_atom_site_fract_x
_atom_site_fract_y
_atom_site_fract_z
Al1 Al 0.0002 0.0149 0.9999
Al2 Al 0.0000 0.3472 0.5000
Al3 Al 0.1517 0.1523 0.2499
Al4 Al 0.1518 0.4851 0.7499
Si1 Si 0.3251 0.0047 0.0924
Si2 Si 0.3251 0.3376 0.5924
Si3 Si 0.3559 0.0050 0.3424
Si4 Si 0.3559 0.3373 0.8424
O1 O 0.0241 0.3336 0.2195
O2 O 0.0777 0.0834 0.1129
O3 O 0.0777 0.4163 0.6129
O4 O 0.1101 0.4170 0.8628
O5 O 0.1105 0.0852 0.3631
O6 O 0.1196 0.1662 0.4698
O7 O 0.1978 0.1409 0.9649
O8 O 0.1977 0.4730 0.4649
O9 O 0.2733 0.3336 0.2738
O10 O 0.3100 0.0245 0.0374
O11 O 0.3100 0.3570 0.5375
O12 O 0.3274 0.1664 0.6068
O13 O 0.3533 0.0246 0.2874
O14 O 0.3542 0.3574 0.7874
O15 O 0.3578 0.1660 0.8565
O16 O 0.3848 0.3338 0.0238
O17 O 0.4444 0.4750 0.7151
O18 O 0.4446 0.1421 0.2151
```



2.
The following is a computed XRD peak list of Al2Si2O7. It was derived from a DFT-relaxed cell (PBE, the Materials Project), using Cu Kα (λ = 1.5418 Å).
Intensities are scaled so that the largest is 100.

Peak list (10 most intense, 10° ≤ 2θ ≤ 90°, by intensity)
- hkl 2 0 0, 2θ 27.50, I = 100
- hkl 1 1 -3, 2θ 30.63, I = 97
- hkl 0 2 2, 2θ 30.72, I = 93
- hkl 1 1 0, 2θ 17.84, I = 34
- hkl 1 3 -5, 2θ 60.77, I = 34
- hkl 2 2 2, 2θ 46.70, I = 23
- hkl 2 2 -3, 2θ 40.35, I = 18
- hkl 2 2 -1, 2θ 34.64, I = 16
- hkl 4 2 -3, 2θ 59.07, I = 16
- hkl 3 1 -3, 2θ 43.47, I = 16

Crystal structure
```
data_Al2Si2O7
_chemical_formula_sum 'Al8 Si8 O28'
_symmetry_space_group_name_H-M 'C 1 2/c 1'
_symmetry_Int_Tables_number 15
_symmetry_space_group_name_Hall '-C 2yc'
_cell_length_a 6.9714
_cell_length_b 7.7389
_cell_length_c 9.4937
_cell_angle_alpha 90.00
_cell_angle_beta 111.49
_cell_angle_gamma 90.00
loop_
_atom_site_label
_atom_site_type_symbol
_atom_site_fract_x
_atom_site_fract_y
_atom_site_fract_z
Al1 Al 0.1756 0.0741 0.4779
Si1 Si 0.2389 0.2517 0.7952
O1 O 0.0000 0.3157 0.7500
O2 O 0.1081 0.0918 0.1039
O3 O 0.2135 0.4234 0.1077
O4 O 0.2185 0.2690 0.3662
```



3.
The following is a computed XRD peak list of AlSi3O8. It was derived from a DFT-relaxed cell (PBE, the Materials Project), using Cu Kα (λ = 1.5418 Å).
Intensities are scaled so that the largest is 100.

Peak list (10 most intense, 10° ≤ 2θ ≤ 90°, by intensity)
- hkl -1 1 1, 2θ 21.78, I = 100
- hkl 0 2 -2, 2θ 26.91, I = 99
- hkl 2 0 0, 2θ 26.66, I = 58
- hkl 0 1 -1, 2θ 13.35, I = 38
- hkl 1 0 1, 2θ 22.50, I = 35
- hkl 1 0 0, 2θ 13.24, I = 33
- hkl 1 1 0, 2θ 22.66, I = 26
- hkl 0 1 -2, 2θ 23.07, I = 25
- hkl 1 0 -1, 2θ 14.66, I = 25
- hkl 0 2 -1, 2θ 23.86, I = 20

Crystal structure
```
data_AlSi3O8
_chemical_formula_sum 'Al2 Si6 O16'
_symmetry_space_group_name_H-M 'P -1'
_symmetry_Int_Tables_number 2
_symmetry_space_group_name_Hall '-P 1'
_cell_length_a 7.4642
_cell_length_b 7.6363
_cell_length_c 7.9798
_cell_angle_alpha 116.45
_cell_angle_beta 104.95
_cell_angle_gamma 102.07
loop_
_atom_site_label
_atom_site_type_symbol
_atom_site_fract_x
_atom_site_fract_y
_atom_site_fract_z
Al1 Al 0.2169 0.3401 0.1939
Si1 Si 0.2298 0.6927 0.8417
Si2 Si 0.3418 0.0789 0.8120
Si3 Si 0.3417 0.3010 0.5803
O1 O 0.0177 0.6457 0.8576
O2 O 0.2466 0.2223 0.3409
O3 O 0.2490 0.2037 0.9688
O4 O 0.2499 0.8273 0.7290
O5 O 0.2550 0.4719 0.7084
O6 O 0.2881 0.1045 0.6152
O7 O 0.4139 0.8275 0.0680
O8 O 0.4170 0.5862 0.3346
```



4.
The following is a computed XRD peak list of Al2Si2O9. It was derived from a DFT-relaxed cell (PBE, the Materials Project), using Cu Kα (λ = 1.5418 Å).
Intensities are scaled so that the largest is 100.

Peak list (10 most intense, 10° ≤ 2θ ≤ 90°, by intensity)
- hkl 0 0 2, 2θ 11.92, I = 100
- hkl 0 0 4, 2θ 23.97, I = 61
- hkl 1 1 1, 2θ 21.21, I = 46
- hkl 0 2 2, 2θ 22.97, I = 36
- hkl 1 3 -3, 2θ 37.98, I = 36
- hkl 1 1 -1, 2θ 20.03, I = 34
- hkl 1 1 0, 2θ 19.73, I = 25
- hkl 1 3 -7, 2θ 54.05, I = 19
- hkl 2 0 -10, 2θ 69.11, I = 18
- hkl 3 3 -1, 2θ 61.49, I = 17

Crystal structure
```
data_Al2Si2O9
_chemical_formula_sum 'Al8 Si8 O36'
_symmetry_space_group_name_H-M 'C 1 c 1'
_symmetry_Int_Tables_number 9
_symmetry_space_group_name_Hall 'C -2yc'
_cell_length_a 5.2170
_cell_length_b 9.0756
_cell_length_c 14.9535
_cell_angle_alpha 90.00
_cell_angle_beta 96.72
_cell_angle_gamma 90.00
loop_
_atom_site_label
_atom_site_type_symbol
_atom_site_fract_x
_atom_site_fract_y
_atom_site_fract_z
Al1 Al 0.0000 0.0770 0.0000
Al2 Al 0.4556 0.2590 0.0000
Si1 Si 0.3797 0.0960 0.1866
Si2 Si 0.3918 0.4251 0.1866
O1 O 0.0653 0.0869 0.4292
O2 O 0.1259 0.4907 0.2153
O3 O 0.1306 0.0287 0.2270
O4 O 0.1389 0.2234 0.9302
O5 O 0.1477 0.3899 0.4358
O6 O 0.3032 0.2744 0.5488
O7 O 0.3170 0.1107 0.0753
O8 O 0.3878 0.4205 0.0754
O9 O 0.4368 0.2601 0.2267
```



Please write out number 3 again, unchanged.
The following is a computed XRD peak list of AlSi3O8. It was derived from a DFT-relaxed cell (PBE, the Materials Project), using Cu Kα (λ = 1.5418 Å).
Intensities are scaled so that the largest is 100.

Peak list (10 most intense, 10° ≤ 2θ ≤ 90°, by intensity)
- hkl -1 1 1, 2θ 21.78, I = 100
- hkl 0 2 -2, 2θ 26.91, I = 99
- hkl 2 0 0, 2θ 26.66, I = 58
- hkl 0 1 -1, 2θ 13.35, I = 38
- hkl 1 0 1, 2θ 22.50, I = 35
- hkl 1 0 0, 2θ 13.24, I = 33
- hkl 1 1 0, 2θ 22.66, I = 26
- hkl 0 1 -2, 2θ 23.07, I = 25
- hkl 1 0 -1, 2θ 14.66, I = 25
- hkl 0 2 -1, 2θ 23.86, I = 20

Crystal structure
```
data_AlSi3O8
_chemical_formula_sum 'Al2 Si6 O16'
_symmetry_space_group_name_H-M 'P -1'
_symmetry_Int_Tables_number 2
_symmetry_space_group_name_Hall '-P 1'
_cell_length_a 7.4642
_cell_length_b 7.6363
_cell_length_c 7.9798
_cell_angle_alpha 116.45
_cell_angle_beta 104.95
_cell_angle_gamma 102.07
loop_
_atom_site_label
_atom_site_type_symbol
_atom_site_fract_x
_atom_site_fract_y
_atom_site_fract_z
Al1 Al 0.2169 0.3401 0.1939
Si1 Si 0.2298 0.6927 0.8417
Si2 Si 0.3418 0.0789 0.8120
Si3 Si 0.3417 0.3010 0.5803
O1 O 0.0177 0.6457 0.8576
O2 O 0.2466 0.2223 0.3409
O3 O 0.2490 0.2037 0.9688
O4 O 0.2499 0.8273 0.7290
O5 O 0.2550 0.4719 0.7084
O6 O 0.2881 0.1045 0.6152
O7 O 0.4139 0.8275 0.0680
O8 O 0.4170 0.5862 0.3346
```